No. 1
Computed powder diffractogram
Compound: Pr4GeP2Br
Radiation: Cu Kα (λ = 1.5418 Å)
Structure: a GGA-PBE-relaxed structure

Structural model:
```
Pr4GeP2Br
1.0
7.386 0.000 0.000
0.000 4.232 0.000
-2.389 0.000 7.030
Pr Ge P Br
4 1 2 1
Direct
0.230 0.000 0.226
0.247 0.500 0.763
0.753 0.500 0.237
0.770 0.000 0.774
0.000 0.000 0.500
0.000 0.500 0.000
0.500 0.000 0.000
0.500 0.500 0.500
```

Largest 10 diffraction maxima, most intense first, 2θ = 5–70°:
| d [Å] | Rel. int. |
| --- | --- |
| 3.020 | 100 |
| 3.010 | 50 |
| 2.128 | 37 |
| 2.136 | 36 |
| 3.462 | 28 |
| 1.731 | 20 |
| 2.116 | 19 |
| 2.156 | 18 |
| 1.348 | 15 |
| 3.497 | 14 |

***

No. 2
Computed powder diffractogram
Compound: Rb2GePBr6
Radiation: Cu Kα (λ = 1.5418 Å)
Structure: a GGA-PBE-relaxed structure

Structural model:
```
Rb2GePBr6
1.0
-3.847 3.847 5.455
3.847 -3.847 5.455
3.847 3.847 -5.455
Rb Ge P Br
2 1 1 6
Direct
0.250 0.750 0.500
0.750 0.250 0.500
0.000 0.000 0.000
0.500 0.500 0.000
0.255 0.255 0.000
0.255 0.255 0.510
0.255 0.745 0.000
0.745 0.255 0.000
0.745 0.745 0.000
0.745 0.745 0.490
```

Largest 10 diffraction maxima, most intense first, 2θ = 5–70°:
| d [Å] | Rel. int. |
| --- | --- |
| 3.144 | 100 |
| 2.723 | 96 |
| 1.925 | 68 |
| 1.641 | 28 |
| 1.572 | 23 |
| 1.644 | 14 |
| 3.851 | 11 |
| 5.446 | 10 |
| 1.360 | 7 |
| 2.223 | 5 |

***

No. 3
Computed powder diffractogram
Compound: PaGeBr6
Radiation: Cu Kα (λ = 1.5418 Å)
Structure: a GGA-PBE-relaxed structure

Structural model:
```
PaGeBr6
1.0
7.019 0.000 0.000
0.000 13.170 0.000
-2.076 0.000 6.706
Pa Ge Br
2 2 12
Direct
0.000 0.000 0.000
0.500 0.500 0.000
0.000 0.500 0.500
0.500 0.000 0.500
0.247 0.000 0.753
0.249 0.355 0.749
0.249 0.645 0.749
0.251 0.145 0.251
0.251 0.855 0.251
0.253 0.500 0.247
0.747 0.500 0.753
0.749 0.145 0.749
0.749 0.855 0.749
0.751 0.355 0.251
0.751 0.645 0.251
0.753 0.000 0.247
```

Largest 10 diffraction maxima, most intense first, 2θ = 5–70°:
| d [Å] | Rel. int. |
| --- | --- |
| 3.022 | 100 |
| 6.585 | 80 |
| 5.192 | 72 |
| 2.064 | 67 |
| 2.825 | 45 |
| 2.349 | 31 |
| 3.971 | 23 |
| 2.226 | 20 |
| 5.975 | 19 |
| 1.676 | 19 |

***

No. 4
Computed powder diffractogram
Compound: Ge5PbBr12
Radiation: Cu Kα (λ = 1.5418 Å)
Structure: a GGA-PBE-relaxed structure

Structural model:
```
Ge5PbBr12
1.0
3.572 -6.202 0.000
3.572 6.202 0.000
-0.012 0.000 14.120
Ge Pb Br
5 1 12
Direct
0.000 0.000 0.000
0.167 0.833 0.500
0.333 0.667 0.000
0.667 0.333 0.000
0.833 0.167 0.500
0.500 0.500 0.500
0.000 0.333 0.888
0.000 0.667 0.112
0.143 0.143 0.618
0.143 0.500 0.382
0.333 0.000 0.888
0.334 0.334 0.112
0.500 0.143 0.382
0.500 0.857 0.618
0.666 0.666 0.888
0.667 0.000 0.112
0.857 0.500 0.618
0.857 0.857 0.382
```

Largest 10 diffraction maxima, most intense first, 2θ = 5–70°:
| d [Å] | Rel. int. |
| --- | --- |
| 3.191 | 100 |
| 7.060 | 94 |
| 2.848 | 85 |
| 2.042 | 55 |
| 2.217 | 47 |
| 2.511 | 37 |
| 3.465 | 30 |
| 1.966 | 26 |
| 1.596 | 20 |
| 2.067 | 20 |

***

No. 5
Computed powder diffractogram
Compound: GePb5Br12
Radiation: Cu Kα (λ = 1.5418 Å)
Structure: a GGA-PBE-relaxed structure

Structural model:
```
GePb5Br12
1.0
3.809 -6.628 0.000
3.809 6.628 0.000
-0.018 0.000 14.051
Ge Pb Br
1 5 12
Direct
0.000 0.000 0.000
0.167 0.833 0.500
0.333 0.667 0.000
0.500 0.500 0.500
0.667 0.333 0.000
0.833 0.167 0.500
0.000 0.310 0.114
0.000 0.690 0.886
0.166 0.166 0.378
0.168 0.501 0.622
0.310 0.000 0.114
0.310 0.310 0.886
0.499 0.832 0.378
0.501 0.168 0.622
0.690 0.000 0.886
0.690 0.690 0.114
0.832 0.499 0.378
0.834 0.834 0.622
```

Largest 10 diffraction maxima, most intense first, 2θ = 5–70°:
| d [Å] | Rel. int. |
| --- | --- |
| 7.026 | 100 |
| 2.961 | 83 |
| 3.354 | 68 |
| 2.175 | 52 |
| 3.685 | 47 |
| 2.264 | 43 |
| 2.583 | 35 |
| 2.209 | 19 |
| 1.679 | 18 |
| 1.997 | 13 |

***

No. 6
Computed powder diffractogram
Compound: Rb4Ge3PbBr12
Radiation: Cu Kα (λ = 1.5418 Å)
Structure: a GGA-PBE-relaxed structure

Structural model:
```
Rb4Ge3PbBr12
1.0
-5.668 5.668 5.668
5.668 -5.668 5.668
5.668 5.668 -5.668
Rb Ge Pb Br
4 3 1 12
Direct
0.000 0.000 0.500
0.000 0.500 0.000
0.500 0.000 0.000
0.500 0.500 0.500
0.000 0.500 0.500
0.500 0.000 0.500
0.500 0.500 0.000
0.000 0.000 0.000
0.000 0.260 0.260
0.000 0.740 0.740
0.250 0.500 0.750
0.250 0.750 0.500
0.260 0.000 0.260
0.260 0.260 0.000
0.500 0.250 0.750
0.500 0.750 0.250
0.740 0.000 0.740
0.740 0.740 0.000
0.750 0.250 0.500
0.750 0.500 0.250
```

Largest 10 diffraction maxima, most intense first, 2θ = 5–70°:
| d [Å] | Rel. int. |
| --- | --- |
| 2.834 | 100 |
| 2.004 | 72 |
| 3.273 | 52 |
| 4.008 | 31 |
| 5.668 | 30 |
| 1.636 | 25 |
| 1.709 | 21 |
| 2.535 | 16 |
| 2.314 | 15 |
| 1.417 | 11 |

***

No. 7
Computed powder diffractogram
Compound: TlGePbBr5
Radiation: Cu Kα (λ = 1.5418 Å)
Structure: a GGA-PBE-relaxed structure

Structural model:
```
TlGePbBr5
1.0
5.326 -5.913 0.000
5.326 5.913 0.000
-4.255 0.000 9.896
Tl Ge Pb Br
2 2 2 10
Direct
0.068 0.932 0.750
0.932 0.068 0.250
0.483 0.517 0.750
0.517 0.483 0.250
0.000 0.500 0.000
0.500 0.000 0.500
0.203 0.227 0.090
0.207 0.793 0.250
0.227 0.203 0.590
0.314 0.644 0.914
0.356 0.686 0.586
0.644 0.314 0.414
0.686 0.356 0.086
0.773 0.797 0.410
0.793 0.207 0.750
0.797 0.773 0.910
```

Largest 10 diffraction maxima, most intense first, 2θ = 5–70°:
| d [Å] | Rel. int. |
| --- | --- |
| 5.273 | 100 |
| 3.607 | 85 |
| 4.473 | 70 |
| 2.946 | 52 |
| 2.446 | 50 |
| 3.278 | 45 |
| 3.795 | 43 |
| 3.657 | 42 |
| 7.134 | 40 |
| 2.436 | 38 |

***

No. 8
Computed powder diffractogram
Compound: Pm4GeBr5
Radiation: Cu Kα (λ = 1.5418 Å)
Structure: a GGA-PBE-relaxed structure

Structural model:
```
Pm4GeBr5
1.0
9.317 -2.084 0.000
9.317 2.084 0.000
-1.945 0.000 8.423
Pm Ge Br
4 1 5
Direct
0.000 0.000 0.226
0.000 0.000 0.774
0.347 0.347 0.920
0.653 0.653 0.080
0.500 0.500 0.000
0.167 0.167 0.330
0.171 0.171 0.837
0.500 0.500 0.500
0.829 0.829 0.163
0.833 0.833 0.670
```

Largest 10 diffraction maxima, most intense first, 2θ = 5–70°:
| d [Å] | Rel. int. |
| --- | --- |
| 3.000 | 100 |
| 3.026 | 49 |
| 8.423 | 44 |
| 2.136 | 36 |
| 2.125 | 34 |
| 1.716 | 18 |
| 2.161 | 18 |
| 2.084 | 18 |
| 9.078 | 18 |
| 1.347 | 14 |

***

No. 9
Computed powder diffractogram
Compound: Pm4GeBr4
Radiation: Cu Kα (λ = 1.5418 Å)
Structure: a GGA-PBE-relaxed structure

Structural model:
```
Pm4GeBr4
1.0
-3.541 3.541 5.941
3.541 -3.541 5.941
3.541 3.541 -5.941
Pm Ge Br
4 1 4
Direct
0.050 0.642 0.000
0.358 0.358 0.408
0.642 0.050 0.000
0.950 0.950 0.592
0.000 0.000 0.000
0.000 0.500 0.500
0.343 0.343 0.000
0.500 0.000 0.500
0.657 0.657 0.000
```

Largest 10 diffraction maxima, most intense first, 2θ = 5–70°:
| d [Å] | Rel. int. |
| --- | --- |
| 3.829 | 100 |
| 2.504 | 38 |
| 2.474 | 32 |
| 3.061 | 29 |
| 2.028 | 28 |
| 3.042 | 24 |
| 2.555 | 22 |
| 2.276 | 21 |
| 2.096 | 17 |
| 1.553 | 15 |

***

No. 10
Computed powder diffractogram
Compound: PmGeBr6
Radiation: Cu Kα (λ = 1.5418 Å)
Structure: a GGA-PBE-relaxed structure

Structural model:
```
PmGeBr6
1.0
6.872 0.000 0.000
0.000 13.311 0.000
-2.046 0.000 6.555
Pm Ge Br
2 2 12
Direct
0.000 0.000 0.000
0.500 0.500 0.000
0.000 0.500 0.500
0.500 0.000 0.500
0.229 0.358 0.730
0.229 0.642 0.730
0.243 0.500 0.258
0.257 0.000 0.742
0.271 0.142 0.270
0.271 0.858 0.270
0.729 0.142 0.730
0.729 0.858 0.730
0.743 0.000 0.258
0.757 0.500 0.742
0.771 0.358 0.270
0.771 0.642 0.270
```

Largest 10 diffraction maxima, most intense first, 2θ = 5–70°:
| d [Å] | Rel. int. |
| --- | --- |
| 2.999 | 100 |
| 2.034 | 79 |
| 6.655 | 74 |
| 5.110 | 57 |
| 2.767 | 44 |
| 2.336 | 26 |
| 2.228 | 20 |
| 1.735 | 19 |
| 3.279 | 19 |
| 3.462 | 18 |

***

No. 11
Computed powder diffractogram
Compound: Pr7GeBr12
Radiation: Cu Kα (λ = 1.5418 Å)
Structure: a GGA-PBE-relaxed structure

Structural model:
```
Pr7GeBr12
1.0
7.722 4.458 3.434
-7.722 4.458 3.434
0.000 -8.916 3.434
Pr Ge Br
7 1 12
Direct
0.000 0.000 0.000
0.172 0.389 0.465
0.389 0.465 0.172
0.465 0.172 0.389
0.535 0.828 0.611
0.611 0.535 0.828
0.828 0.611 0.535
0.500 0.500 0.500
0.029 0.340 0.110
0.110 0.029 0.340
0.191 0.728 0.578
0.272 0.422 0.809
0.340 0.110 0.029
0.422 0.809 0.272
0.578 0.191 0.728
0.660 0.890 0.971
0.728 0.578 0.191
0.809 0.272 0.422
0.890 0.971 0.660
0.971 0.660 0.890
```

Largest 10 diffraction maxima, most intense first, 2θ = 5–70°:
| d [Å] | Rel. int. |
| --- | --- |
| 3.010 | 100 |
| 2.142 | 37 |
| 2.115 | 36 |
| 7.722 | 29 |
| 1.745 | 19 |
| 1.353 | 16 |
| 1.505 | 12 |
| 8.161 | 10 |
| 5.609 | 8 |
| 4.538 | 8 |

***

No. 12
Computed powder diffractogram
Compound: Pr3GeBr7
Radiation: Cu Kα (λ = 1.5418 Å)
Structure: a GGA-PBE-relaxed structure

Structural model:
```
Pr3GeBr7
1.0
8.853 0.000 0.000
-4.427 7.667 0.000
0.000 0.000 6.717
Pr Ge Br
3 1 7
Direct
0.007 0.504 0.000
0.496 0.504 0.000
0.496 0.993 0.000
0.333 0.667 0.748
0.179 0.358 0.247
0.179 0.821 0.247
0.350 0.175 0.775
0.642 0.821 0.247
0.667 0.333 0.247
0.825 0.175 0.775
0.825 0.650 0.775
```

Largest 10 diffraction maxima, most intense first, 2θ = 5–70°:
| d [Å] | Rel. int. |
| --- | --- |
| 3.330 | 100 |
| 2.526 | 56 |
| 6.717 | 41 |
| 2.213 | 37 |
| 1.933 | 24 |
| 7.667 | 23 |
| 1.843 | 17 |
| 1.665 | 15 |
| 1.416 | 14 |
| 2.102 | 13 |

***

No. 13
Computed powder diffractogram
Compound: Pr4Ge2Br3
Radiation: Cu Kα (λ = 1.5418 Å)
Structure: a GGA-PBE-relaxed structure

Structural model:
```
Pr4Ge2Br3
1.0
3.753 -2.167 0.000
3.753 2.167 0.000
-0.112 0.000 18.061
Pr Ge Br
4 2 3
Direct
0.005 0.005 0.297
0.336 0.336 0.115
0.664 0.664 0.885
0.995 0.995 0.703
0.330 0.330 0.798
0.670 0.670 0.202
0.000 0.000 0.000
0.340 0.340 0.396
0.660 0.660 0.604
```

Largest 10 diffraction maxima, most intense first, 2θ = 5–70°:
| d [Å] | Rel. int. |
| --- | --- |
| 3.189 | 100 |
| 2.167 | 71 |
| 3.176 | 54 |
| 2.891 | 34 |
| 9.031 | 33 |
| 2.123 | 28 |
| 1.790 | 20 |
| 2.879 | 19 |
| 2.345 | 16 |
| 2.132 | 16 |